Record 1
For La2Nd5, DFT lattice parameters and positions (GGA-PBE) gives the computed powder diffractogram in this record (a wavelength of 1.5418 Å).
Lines closer than 0.1° are merged.

Unit cell a=6.414 b=6.414 c=8.258 alpha=97.27 beta=97.27 gamma=48.30
Sites, in units of the cell vectors:
La1 0.214 0.214 0.143
La2 0.786 0.786 0.857
Nd1 0.072 0.072 0.711
Nd2 0.357 0.357 0.572
Nd3 0.500 0.500 0.000
Nd4 0.643 0.643 0.428
Nd5 0.928 0.928 0.289

Most intense lines, 2θ = 10–80°, low angle first:
29.55°, I 1000; 34.20°, I 340; 34.36°, I 168; 49.19°, I 243; 58.39°, I 291; 58.60°, I 144



Record 2
For Cr2Re3Mo6, DFT lattice parameters and positions (GGA-PBE) gives the computed powder diffractogram in this record (a wavelength of 1.5418 Å).
Lines closer than 0.1° are merged.

Unit cell a=6.669 b=6.669 c=6.669 alpha=140.97 beta=96.52 gamma=96.29
Sites, in units of the cell vectors:
Cr1 0.000 0.231 0.231
Cr2 0.000 0.769 0.769
Re1 0.316 0.000 0.316
Re2 0.500 0.500 0.000
Re3 0.684 0.000 0.684
Mo1 0.084 0.252 0.832
Mo2 0.264 0.764 0.500
Mo3 0.420 0.252 0.168
Mo4 0.580 0.748 0.832
Mo5 0.736 0.236 0.500
Mo6 0.916 0.748 0.168

Most intense lines, 2θ = 10–80°, low angle first:
14.09°, I 276; 30.14°, I 260; 40.52°, I 473; 41.89°, I 1000; 58.64°, I 129; 74.64°, I 321



Record 3
For LaPrPtI, DFT lattice parameters and positions (GGA-PBE) gives the computed powder diffractogram in this record (a wavelength of 1.5418 Å).
Lines closer than 0.1° are merged.

Unit cell a=8.619 b=8.619 c=8.619 alpha=28.98 beta=28.98 gamma=28.98
Sites, in units of the cell vectors:
La1 0.000 0.000 0.000
Pr1 0.791 0.791 0.791
Pt1 0.395 0.395 0.395
I1 0.563 0.563 0.563

Most intense lines, 2θ = 10–80°, low angle first:
10.72°, I 353; 24.89°, I 266; 29.96°, I 1000; 41.88°, I 482; 43.88°, I 249; 52.35°, I 211



Record 4
For Cs4RbMn3Br12, DFT lattice parameters and positions (GGA-PBE) gives the computed powder diffractogram in this record (a wavelength of 1.5418 Å).
Lines closer than 0.1° are merged.

Unit cell a=9.766 b=9.766 c=9.766 alpha=109.47 beta=109.47 gamma=109.47
Sites, in units of the cell vectors:
Cs1 0.000 0.000 0.500
Cs2 0.000 0.500 0.000
Cs3 0.500 0.000 0.000
Cs4 0.500 0.500 0.500
Rb1 0.000 0.000 0.000
Mn1 0.000 0.500 0.500
Mn2 0.500 0.000 0.500
Mn3 0.500 0.500 0.000
Br1 0.000 0.281 0.281
Br2 0.000 0.719 0.719
Br3 0.250 0.500 0.750
Br4 0.250 0.750 0.500
Br5 0.281 0.000 0.281
Br6 0.281 0.281 0.000
Br7 0.500 0.250 0.750
Br8 0.500 0.750 0.250
Br9 0.719 0.000 0.719
Br10 0.719 0.719 0.000
Br11 0.750 0.250 0.500
Br12 0.750 0.500 0.250

Most intense lines, 2θ = 10–80°, low angle first:
22.30°, I 373; 27.40°, I 983; 31.74°, I 1000; 45.50°, I 675; 53.93°, I 374; 75.39°, I 258



Record 5
For Nb2Cd2O7, DFT lattice parameters and positions (GGA-PBE) gives the computed powder diffractogram in this record (a wavelength of 1.5418 Å).
Lines closer than 0.1° are merged.

Unit cell a=7.485 b=7.485 c=7.485 alpha=120.46 beta=90.17 gamma=119.34
Sites, in units of the cell vectors:
Nb1 0.000 0.000 0.000
Nb2 0.000 0.500 0.500
Nb3 0.002 0.008 0.494
Nb4 0.513 0.508 0.506
Cd1 0.509 0.009 0.500
Cd2 0.509 0.509 0.000
Cd3 0.509 0.999 0.010
Cd4 0.989 0.499 0.990
O1 0.037 0.722 0.815
O2 0.041 0.106 0.811
O3 0.041 0.729 0.435
O4 0.295 0.229 0.189
O5 0.295 0.606 0.565
O6 0.304 0.233 0.571
O7 0.362 0.739 0.124
O8 0.615 0.239 0.876
O9 0.660 0.339 0.427
O10 0.660 0.733 0.822
O11 0.662 0.733 0.429
O12 0.906 0.222 0.185
O13 0.911 0.233 0.573
O14 0.911 0.839 0.178

Most intense lines, 2θ = 10–80°, low angle first:
29.04°, I 1000; 29.38°, I 962; 33.82°, I 428; 48.66°, I 571; 57.41°, I 275; 57.98°, I 396



Record 6
For CdPd3, DFT lattice parameters and positions (GGA-PBE) gives the computed powder diffractogram in this record (a wavelength of 1.5418 Å).
Lines closer than 0.1° are merged.

Unit cell a=8.590 b=8.590 c=8.590 alpha=152.95 beta=152.95 gamma=38.63
Sites, in units of the cell vectors:
Cd1 0.125 0.125 0.000
Cd2 0.875 0.875 0.000
Pd1 0.000 0.500 0.500
Pd2 0.250 0.750 0.500
Pd3 0.375 0.375 0.000
Pd4 0.500 0.000 0.500
Pd5 0.625 0.625 0.000
Pd6 0.750 0.250 0.500

Most intense lines, 2θ = 10–80°, low angle first:
38.70°, I 1000; 44.72°, I 164; 45.12°, I 320; 65.41°, I 205; 78.37°, I 121; 78.96°, I 237